This entry pairs a crystal structure of RbCe3Te8 with its calculated powder XRD pattern. Radiation: Cu Kα (weighted mean of Kα1 and Kα2). Structure: a structure optimized by DFT (GGA-PBE).
No peak broadening, texture or thermal motion is included.

Top 8 peaks for 10 to 90 degrees two-theta, in order of rising 2θ:
25.5°, I = 184
28.5°, I = 201
29.9°, I = 1000
32.6°, I = 221
32.8°, I = 274
36.3°, I = 501
39.5°, I = 290
41.4°, I = 236

Cell and atoms:
```
RbCe3Te8
1.0
14.176 0.000 0.000
0.000 13.081 0.000
-1.483 0.000 9.013
Rb Ce Te
4 12 32
Direct
0.037 0.092 0.257 Rb
0.037 0.408 0.757 Rb
0.963 0.592 0.243 Rb
0.963 0.908 0.743 Rb
0.342 0.749 0.085 Ce
0.342 0.751 0.585 Ce
0.351 0.085 0.080 Ce
0.351 0.415 0.580 Ce
0.353 0.084 0.597 Ce
0.353 0.416 0.097 Ce
0.647 0.584 0.903 Ce
0.647 0.916 0.403 Ce
0.649 0.585 0.420 Ce
0.649 0.915 0.920 Ce
0.658 0.249 0.415 Ce
0.658 0.251 0.915 Ce
0.171 0.730 0.793 Te
0.171 0.770 0.293 Te
0.176 0.575 0.037 Te
0.176 0.575 0.551 Te
0.176 0.925 0.051 Te
0.176 0.925 0.537 Te
0.177 0.092 0.794 Te
0.177 0.408 0.294 Te
0.180 0.249 0.545 Te
0.180 0.251 0.045 Te
0.411 0.577 0.851 Te
0.411 0.923 0.351 Te
0.412 0.585 0.354 Te
0.412 0.915 0.854 Te
0.417 0.245 0.355 Te
0.417 0.255 0.855 Te
0.583 0.745 0.145 Te
0.583 0.755 0.645 Te
0.588 0.085 0.146 Te
0.588 0.415 0.646 Te
0.589 0.077 0.649 Te
0.589 0.423 0.149 Te
0.820 0.749 0.955 Te
0.820 0.751 0.455 Te
0.823 0.592 0.706 Te
0.823 0.908 0.206 Te
0.824 0.075 0.463 Te
0.824 0.075 0.949 Te
0.824 0.425 0.449 Te
0.824 0.425 0.963 Te
0.829 0.230 0.707 Te
0.829 0.270 0.207 Te
```

---

This entry pairs a crystal structure of CeRe4Si2 with its calculated powder XRD pattern. Radiation: Cu Kα (weighted mean of Kα1 and Kα2). Structure: a structure optimized by DFT (GGA-PBE).
No peak broadening, texture or thermal motion is included.

Top 8 peaks for 10 to 90 degrees two-theta, in order of rising 2θ:
12.6°, I = 656
36.4°, I = 1000
43.6°, I = 207
44.4°, I = 197
44.9°, I = 325
63.9°, I = 134
75.3°, I = 122
76.4°, I = 118

Cell and atoms:
```
CeRe4Si2
1.0
2.076 -7.000 0.000
2.076 7.000 0.000
0.000 0.000 4.085
Ce Re Si
1 4 2
Direct
0.000 0.000 0.000 Ce
0.186 0.814 0.500 Re
0.305 0.695 0.000 Re
0.695 0.305 0.000 Re
0.814 0.186 0.500 Re
0.413 0.587 0.500 Si
0.587 0.413 0.500 Si
```

---

This entry pairs a crystal structure of Ce7Rh3 with its calculated powder XRD pattern. Radiation: Cu Kα (weighted mean of Kα1 and Kα2). Structure: a structure optimized by DFT (GGA-PBE).
No peak broadening, texture or thermal motion is included.

Top 8 peaks for 10 to 90 degrees two-theta, in order of rising 2θ:
31.0°, I = 477
31.4°, I = 1000
34.9°, I = 604
36.1°, I = 598
36.6°, I = 542
55.4°, I = 243
55.9°, I = 252
56.2°, I = 393

Cell and atoms:
```
Ce7Rh3
1.0
9.814 0.000 0.000
-4.907 8.499 0.000
0.000 0.000 6.137
Ce Rh
14 6
Direct
0.077 0.539 0.000 Ce
0.128 0.257 0.712 Ce
0.128 0.872 0.712 Ce
0.257 0.128 0.212 Ce
0.333 0.667 0.516 Ce
0.461 0.539 0.000 Ce
0.461 0.923 0.000 Ce
0.539 0.077 0.500 Ce
0.539 0.461 0.500 Ce
0.667 0.333 0.016 Ce
0.743 0.872 0.712 Ce
0.872 0.128 0.212 Ce
0.872 0.743 0.212 Ce
0.923 0.461 0.500 Ce
0.186 0.372 0.256 Rh
0.186 0.814 0.256 Rh
0.372 0.186 0.756 Rh
0.628 0.814 0.256 Rh
0.814 0.186 0.756 Rh
0.814 0.628 0.756 Rh
```

---

This entry pairs a crystal structure of Ce3Rh2 with its calculated powder XRD pattern. Radiation: Cu Kα (weighted mean of Kα1 and Kα2). Structure: a structure optimized by DFT (GGA-PBE).
No peak broadening, texture or thermal motion is included.

Top 8 peaks for 10 to 90 degrees two-theta, in order of rising 2θ:
29.6°, I = 354
31.8°, I = 634
32.1°, I = 231
32.6°, I = 375
33.2°, I = 1000
35.6°, I = 710
38.3°, I = 687
38.7°, I = 659

Cell and atoms:
```
Ce3Rh2
1.0
4.364 2.519 5.495
-4.364 2.519 5.495
0.000 -5.039 5.495
Ce Rh
9 6
Direct
0.000 0.000 0.000 Ce
0.166 0.390 0.663 Ce
0.205 0.205 0.205 Ce
0.337 0.834 0.610 Ce
0.390 0.663 0.166 Ce
0.610 0.337 0.834 Ce
0.663 0.166 0.390 Ce
0.795 0.795 0.795 Ce
0.834 0.610 0.337 Ce
0.046 0.834 0.409 Rh
0.166 0.591 0.954 Rh
0.409 0.046 0.834 Rh
0.591 0.954 0.166 Rh
0.834 0.409 0.046 Rh
0.954 0.166 0.591 Rh
```

---

This entry pairs a crystal structure of Ce4Si3Rh4 with its calculated powder XRD pattern. Radiation: Cu Kα (weighted mean of Kα1 and Kα2). Structure: a structure optimized by DFT (GGA-PBE).
No peak broadening, texture or thermal motion is included.

Top 8 peaks for 10 to 90 degrees two-theta, in order of rising 2θ:
24.7°, I = 373
30.5°, I = 375
34.1°, I = 753
34.4°, I = 429
35.2°, I = 551
36.9°, I = 1000
37.7°, I = 710
41.0°, I = 623

Cell and atoms:
```
Ce4Si3Rh4
1.0
10.293 -2.814 0.000
10.293 2.814 0.000
-2.723 0.000 7.421
Ce Si Rh
8 6 8
Direct
0.072 0.799 0.830 Ce
0.201 0.928 0.670 Ce
0.214 0.447 0.098 Ce
0.447 0.214 0.598 Ce
0.553 0.786 0.402 Ce
0.786 0.553 0.902 Ce
0.799 0.072 0.330 Ce
0.928 0.201 0.170 Ce
0.056 0.288 0.559 Si
0.288 0.056 0.059 Si
0.357 0.643 0.250 Si
0.643 0.357 0.750 Si
0.712 0.944 0.941 Si
0.944 0.712 0.441 Si
0.073 0.367 0.317 Rh
0.303 0.568 0.478 Rh
0.367 0.073 0.817 Rh
0.432 0.697 0.022 Rh
0.568 0.303 0.978 Rh
0.633 0.927 0.183 Rh
0.697 0.432 0.522 Rh
0.927 0.633 0.683 Rh
```

---

This entry pairs a crystal structure of CeSi2Rh3 with its calculated powder XRD pattern. Radiation: Cu Kα (weighted mean of Kα1 and Kα2). Structure: a structure optimized by DFT (GGA-PBE).
No peak broadening, texture or thermal motion is included.

Top 8 peaks for 10 to 90 degrees two-theta, in order of rising 2θ:
31.0°, I = 1000
37.0°, I = 836
37.1°, I = 447
40.8°, I = 230
40.9°, I = 623
45.1°, I = 207
56.4°, I = 225
64.7°, I = 323

Cell and atoms:
```
CeSi2Rh3
1.0
-3.581 4.844 2.811
3.581 -4.844 2.811
3.581 4.844 -2.811
Ce Si Rh
2 4 6
Direct
0.462 0.212 0.250 Ce
0.538 0.788 0.750 Ce
0.115 0.694 0.421 Si
0.228 0.306 0.921 Si
0.772 0.694 0.079 Si
0.885 0.306 0.579 Si
0.000 0.000 0.500 Rh
0.000 0.214 0.214 Rh
0.000 0.500 0.000 Rh
0.000 0.786 0.786 Rh
0.500 0.214 0.714 Rh
0.500 0.786 0.286 Rh
```

---

This entry pairs a crystal structure of CeSiRh2 with its calculated powder XRD pattern. Radiation: Cu Kα (weighted mean of Kα1 and Kα2). Structure: a structure optimized by DFT (GGA-PBE).
No peak broadening, texture or thermal motion is included.

Top 8 peaks for 10 to 90 degrees two-theta, in order of rising 2θ:
29.3°, I = 204
33.2°, I = 150
34.9°, I = 1000
36.9°, I = 156
44.9°, I = 174
45.5°, I = 168
45.6°, I = 102
65.8°, I = 109

Cell and atoms:
```
CeSiRh2
1.0
1.995 -9.154 0.000
1.995 9.154 0.000
0.000 0.000 4.037
Ce Si Rh
2 2 4
Direct
0.099 0.901 0.750 Ce
0.901 0.099 0.250 Ce
0.321 0.679 0.750 Si
0.679 0.321 0.250 Si
0.250 0.750 0.250 Rh
0.450 0.550 0.750 Rh
0.550 0.450 0.250 Rh
0.750 0.250 0.750 Rh
```

---

This entry pairs a crystal structure of Ce2Si7Rh15 with its calculated powder XRD pattern. Radiation: Cu Kα (weighted mean of Kα1 and Kα2). Structure: a structure optimized by DFT (GGA-PBE).
No peak broadening, texture or thermal motion is included.

Top 8 peaks for 10 to 90 degrees two-theta, in order of rising 2θ:
30.0°, I = 318
33.3°, I = 509
34.8°, I = 463
40.4°, I = 815
41.7°, I = 1000
43.0°, I = 369
46.6°, I = 280
58.5°, I = 324

Cell and atoms:
```
Ce2Si7Rh15
1.0
8.931 0.000 0.000
0.000 8.931 0.000
0.000 0.000 8.931
Ce Si Rh
4 14 30
Direct
0.000 0.000 0.000 Ce
0.000 0.500 0.500 Ce
0.500 0.000 0.500 Ce
0.500 0.500 0.000 Ce
0.000 0.000 0.365 Si
0.000 0.000 0.635 Si
0.000 0.365 0.000 Si
0.000 0.635 0.000 Si
0.288 0.288 0.288 Si
0.288 0.288 0.712 Si
0.288 0.712 0.288 Si
0.288 0.712 0.712 Si
0.365 0.000 0.000 Si
0.635 0.000 0.000 Si
0.712 0.288 0.288 Si
0.712 0.288 0.712 Si
0.712 0.712 0.288 Si
0.712 0.712 0.712 Si
0.000 0.238 0.238 Rh
0.000 0.238 0.762 Rh
0.000 0.762 0.238 Rh
0.000 0.762 0.762 Rh
0.177 0.177 0.500 Rh
0.177 0.500 0.177 Rh
0.177 0.500 0.823 Rh
0.177 0.823 0.500 Rh
0.238 0.000 0.238 Rh
0.238 0.000 0.762 Rh
0.238 0.238 0.000 Rh
0.238 0.762 0.000 Rh
0.273 0.500 0.500 Rh
0.500 0.177 0.177 Rh
0.500 0.177 0.823 Rh
0.500 0.273 0.500 Rh
0.500 0.500 0.273 Rh
0.500 0.500 0.727 Rh
0.500 0.727 0.500 Rh
0.500 0.823 0.177 Rh
0.500 0.823 0.823 Rh
0.727 0.500 0.500 Rh
0.762 0.000 0.238 Rh
0.762 0.000 0.762 Rh
0.762 0.238 0.000 Rh
0.762 0.762 0.000 Rh
0.823 0.177 0.500 Rh
0.823 0.500 0.177 Rh
0.823 0.500 0.823 Rh
0.823 0.823 0.500 Rh
```

---

What did the eighth record say?
This entry pairs a crystal structure of Ce2Si7Rh15 with its calculated powder XRD pattern. Radiation: Cu Kα (weighted mean of Kα1 and Kα2). Structure: a structure optimized by DFT (GGA-PBE).
No peak broadening, texture or thermal motion is included.

Top 8 peaks for 10 to 90 degrees two-theta, in order of rising 2θ:
30.0°, I = 318
33.3°, I = 509
34.8°, I = 463
40.4°, I = 815
41.7°, I = 1000
43.0°, I = 369
46.6°, I = 280
58.5°, I = 324

Cell and atoms:
```
Ce2Si7Rh15
1.0
8.931 0.000 0.000
0.000 8.931 0.000
0.000 0.000 8.931
Ce Si Rh
4 14 30
Direct
0.000 0.000 0.000 Ce
0.000 0.500 0.500 Ce
0.500 0.000 0.500 Ce
0.500 0.500 0.000 Ce
0.000 0.000 0.365 Si
0.000 0.000 0.635 Si
0.000 0.365 0.000 Si
0.000 0.635 0.000 Si
0.288 0.288 0.288 Si
0.288 0.288 0.712 Si
0.288 0.712 0.288 Si
0.288 0.712 0.712 Si
0.365 0.000 0.000 Si
0.635 0.000 0.000 Si
0.712 0.288 0.288 Si
0.712 0.288 0.712 Si
0.712 0.712 0.288 Si
0.712 0.712 0.712 Si
0.000 0.238 0.238 Rh
0.000 0.238 0.762 Rh
0.000 0.762 0.238 Rh
0.000 0.762 0.762 Rh
0.177 0.177 0.500 Rh
0.177 0.500 0.177 Rh
0.177 0.500 0.823 Rh
0.177 0.823 0.500 Rh
0.238 0.000 0.238 Rh
0.238 0.000 0.762 Rh
0.238 0.238 0.000 Rh
0.238 0.762 0.000 Rh
0.273 0.500 0.500 Rh
0.500 0.177 0.177 Rh
0.500 0.177 0.823 Rh
0.500 0.273 0.500 Rh
0.500 0.500 0.273 Rh
0.500 0.500 0.727 Rh
0.500 0.727 0.500 Rh
0.500 0.823 0.177 Rh
0.500 0.823 0.823 Rh
0.727 0.500 0.500 Rh
0.762 0.000 0.238 Rh
0.762 0.000 0.762 Rh
0.762 0.238 0.000 Rh
0.762 0.762 0.000 Rh
0.823 0.177 0.500 Rh
0.823 0.500 0.177 Rh
0.823 0.500 0.823 Rh
0.823 0.823 0.500 Rh
```